# 1
Structure and simulated powder XRD pattern of Y3Ag2Au4 (a crystal structure in Alexandria, relaxed with GGA-PBE; Cu Kα).

The 8 most intense peaks (10° ≤ 2θ ≤ 90°), in order of falling intensity:
two_theta  I_rel
38.03  1000
32.73  769
35.00  632
34.75  629
42.08  386
42.30  383
61.93  343
62.99  221

abc: 13.896 10.944 5.313
angles: 90.00 101.35 90.00
Space group C2/c (No. 15)
Symmetry-distinct sites (fractional):
Y (0.000, 0.121, 0.250)
Y (0.159, 0.375, 0.062)
Ag (0.222, 0.127, 0.375)
Au (0.063, 0.367, 0.512)
Au (0.116, 0.121, 0.821)

---

# 2
Structure and simulated powder XRD pattern of Zn2Ag6Au (a crystal structure in Alexandria, relaxed with GGA-PBE; Cu Kα).

The 8 most intense peaks (10° ≤ 2θ ≤ 90°), in order of falling intensity:
two_theta  I_rel
37.55  1000
34.58  567
42.24  445
41.35  369
42.90  364
48.24  252
13.52  151
72.89  124

abc: 6.661 13.102 3.813
angles: 90.00 105.83 90.00
Space group C2/m (No. 12)
Symmetry-distinct sites (fractional):
Zn (0.000, 0.154, 0.000)
Ag (0.165, 0.500, 0.827)
Ag (0.171, 0.337, 0.317)
Au (0.000, 0.000, 0.500)

---

# 3
Structure and simulated powder XRD pattern of Zn4Ag3Au (a crystal structure in Alexandria, relaxed with GGA-PBE; Cu Kα).

The 8 most intense peaks (10° ≤ 2θ ≤ 90°), in order of falling intensity:
two_theta  I_rel
41.35  1000
39.45  279
36.13  251
78.75  174
72.83  173
64.98  155
54.56  147
20.35  100

abc: 9.137 5.745 4.968
angles: 90.00 90.00 90.00
Space group Pmn2_1 (No. 31)
Symmetry-distinct sites (fractional):
Zn (0.000, 0.114, 0.000)
Zn (0.000, 0.636, 0.991)
Zn (0.249, 0.128, 0.322)
Ag (0.000, 0.383, 0.459)
Ag (0.240, 0.364, 0.827)
Au (0.000, 0.889, 0.515)